[1]
Computed X-ray powder pattern of Y4Er6Th for Cu Kα, 1.54184 Å, from the PBE geometry in Alexandria.

Cell and atoms:
```
Y4Er6Th
1.0
2.820 -4.862 0.000
2.820 4.862 0.000
0.000 0.000 25.520
Y Er Th
8 12 2
Cartesian
2.820 4.827 15.872
2.820 4.827 22.408
2.820 1.611 13.809
2.820 1.611 24.471
2.820 -1.611 1.049
2.820 -1.611 11.711
2.820 -4.827 3.112
2.820 -4.827 9.648
0.000 0.000 0.000
0.000 0.000 12.760
2.820 4.825 19.140
2.820 1.649 2.617
2.820 1.649 10.144
2.820 1.585 17.433
2.820 1.585 20.848
2.820 -1.585 4.673
2.820 -1.585 8.088
2.820 -1.649 15.377
2.820 -1.649 22.904
2.820 -4.825 6.380
2.820 1.655 6.380
2.820 -1.655 19.140
```

Most intense lines, 15 to 90 degrees two-theta, by angle:
30.63°, I = 100; 31.73°, I = 46; 31.84°, I = 91; 33.58°, I = 27; 44.70°, I = 24; 44.81°, I = 11; 55.83°, I = 12; 55.98°, I = 24; 56.60°, I = 18; 60.52°, I = 20

***

[2]
Computed X-ray powder pattern of Y12Er2Th for Cu Kα, 1.54184 Å, from the PBE geometry in Alexandria.

Cell and atoms:
```
Y12Er2Th
1.0
3.390 0.000 0.000
0.000 5.884 0.000
0.000 0.000 26.271
Y Er Th
12 2 1
Cartesian
0.000 0.000 1.634
0.000 0.000 11.307
0.000 0.000 14.963
0.000 0.000 24.636
1.695 0.000 4.636
1.695 0.000 8.173
1.695 0.000 18.098
1.695 0.000 21.635
1.695 2.942 6.558
1.695 2.942 10.076
1.695 2.942 16.195
1.695 2.942 19.713
0.000 2.942 3.511
0.000 2.942 22.760
0.000 2.942 13.135
```

Most intense lines, 15 to 90 degrees two-theta, by angle:
18.16°, I = 23; 27.17°, I = 42; 30.38°, I = 60; 31.19°, I = 100; 32.13°, I = 35; 34.99°, I = 24; 36.85°, I = 68; 41.21°, I = 29; 63.78°, I = 25; 65.06°, I = 26

***

[3]
Computed X-ray powder pattern of Y2ErTh4 for Cu Kα, 1.54184 Å, from the PBE geometry in Alexandria.

Cell and atoms:
```
Y2ErTh4
1.0
9.262 0.000 0.000
0.000 9.262 0.000
0.000 0.000 5.633
Y Er Th
4 2 8
Cartesian
1.623 1.623 0.000
3.008 6.254 2.816
6.254 3.008 2.816
7.639 7.639 0.000
0.000 0.000 2.816
4.631 4.631 0.000
1.041 3.445 2.816
1.186 5.672 0.000
3.445 1.041 2.816
3.590 8.075 0.000
5.672 1.186 0.000
5.817 8.220 2.816
8.075 3.590 0.000
8.220 5.817 2.816
```

Most intense lines, 15 to 90 degrees two-theta, by angle:
20.80°, I = 20; 30.52°, I = 27; 31.60°, I = 100; 31.77°, I = 38; 33.09°, I = 18; 34.52°, I = 39; 44.64°, I = 20; 56.50°, I = 20; 60.67°, I = 17; 65.95°, I = 29

***

[4]
Computed X-ray powder pattern of Y7ErTh3 for Cu Kα, 1.54184 Å, from the PBE geometry in Alexandria.

Cell and atoms:
```
Y7ErTh3
1.0
6.459 0.000 0.000
-0.790 6.668 0.000
-1.059 -1.853 8.422
Y Er Th
7 1 3
Cartesian
0.000 0.000 0.000
-0.802 3.565 5.431
0.406 0.232 5.938
1.623 3.163 7.782
2.986 1.652 0.641
4.204 4.583 2.485
5.412 1.250 2.991
-0.395 3.334 0.000
0.992 5.677 2.834
2.305 2.407 4.211
3.617 -0.862 5.588
```

Most intense lines, 15 to 90 degrees two-theta, by angle:
16.19°, I = 25; 27.59°, I = 23; 29.49°, I = 20; 30.90°, I = 23; 31.59°, I = 22; 31.81°, I = 100; 31.89°, I = 26; 32.18°, I = 55; 32.72°, I = 51; 33.37°, I = 28

***

[5]
Computed X-ray powder pattern of ErThZr for Cu Kα, 1.54184 Å, from the PBE geometry in Alexandria.

Cell and atoms:
```
ErThZr
1.0
3.450 0.000 0.000
-1.725 2.987 0.000
0.000 0.000 8.229
Er Th Zr
1 1 1
Cartesian
0.000 0.000 0.000
1.725 0.996 2.881
0.000 1.992 5.513
```

Most intense lines, 15 to 90 degrees two-theta, by angle:
31.87°, I = 100; 32.65°, I = 29; 37.19°, I = 64; 53.10°, I = 23; 54.13°, I = 23; 63.28°, I = 14; 63.74°, I = 25; 64.66°, I = 12; 66.61°, I = 12; 87.13°, I = 12

***

[6]
Computed X-ray powder pattern of ErTm2Ti for Cu Kα, 1.54184 Å, from the PBE geometry in Alexandria.

Cell and atoms:
```
ErTm2Ti
1.0
3.357 0.000 0.000
0.000 3.357 0.000
0.000 0.000 9.412
Er Tm Ti
1 2 1
Cartesian
0.000 0.000 0.000
1.679 1.679 2.630
1.679 1.679 6.782
0.000 0.000 4.706
```

Most intense lines, 15 to 90 degrees two-theta, by angle:
28.22°, I = 17; 28.45°, I = 11; 32.77°, I = 100; 37.90°, I = 37; 38.25°, I = 13; 48.06°, I = 11; 54.68°, I = 13; 54.94°, I = 18; 56.01°, I = 12; 65.22°, I = 27

***

[7]
Computed X-ray powder pattern of ErTi2V for Cu Kα, 1.54184 Å, from the PBE geometry in Alexandria.

Cell and atoms:
```
ErTi2V
1.0
3.315 0.000 0.000
0.000 3.315 0.000
0.000 0.000 6.978
Er Ti V
1 2 1
Cartesian
0.000 0.000 0.000
1.657 1.657 2.151
1.657 1.657 4.827
0.000 0.000 3.489
```

Most intense lines, 15 to 90 degrees two-theta, by angle:
25.53°, I = 17; 26.90°, I = 21; 29.84°, I = 50; 37.42°, I = 100; 38.41°, I = 55; 46.69°, I = 14; 55.44°, I = 18; 55.67°, I = 15; 59.92°, I = 13; 68.81°, I = 31

***

[8]
Computed X-ray powder pattern of Er5Tl for Cu Kα, 1.54184 Å, from the PBE geometry in Alexandria.

Cell and atoms:
```
Er5Tl
1.0
5.606 -2.455 0.000
5.606 2.455 0.000
-2.568 0.000 6.356
Er Tl
5 1
Cartesian
0.000 0.000 0.000
1.780 0.000 4.267
3.433 0.000 1.148
5.211 0.000 5.208
6.864 0.000 2.089
-1.284 0.000 3.178
```

Most intense lines, 15 to 90 degrees two-theta, by angle:
31.60°, I = 94; 31.90°, I = 100; 35.50°, I = 33; 36.60°, I = 34; 38.33°, I = 29; 51.91°, I = 23; 54.04°, I = 21; 61.67°, I = 12; 62.78°, I = 15; 62.96°, I = 14